This entry pairs a crystal structure of Dy3Hg8 with its calculated XRD peak list. Radiation: Cu Kα X-rays. Structure: a crystal structure in Alexandria, relaxed with PBE.
No peak broadening, texture or thermal motion is included.

Atomic structure:
a b c (Å): 5.0262 5.0262 36.2644
angles (deg): 90.00 90.00 120.00
Space group R-3m (No. 166, hexagonal axes)
Symmetry-distinct sites (fractional):
1 Dy 0.0000 0.0000 0.0000
2 Dy 0.0000 0.0000 0.4505
3 Hg 0.0000 0.0000 0.0866
4 Hg 0.0000 0.0000 0.1710
5 Hg 0.0000 0.0000 0.2718
6 Hg 0.0000 0.0000 0.3626

Principal peaks in the range 2θ = 10–80°, in order of rising 2θ:
two_theta, I_rel, index
32.13, 3.9, 1 0 10
34.12, 98.4, 0 1 11
35.73, 100.0, 1 1 0
50.23, 33.5, 2 0 11
60.01, 13.1, 1 0 22
63.16, 34.0, 1 2 11
64.19, 18.6, 3 0 0
65.59, 4.3, 1 1 21
71.84, 7.8, 0 2 22
75.69, 11.7, 2 2 0